Record 1
The following is a calculated powder X-ray diffraction pattern of YB3H15N. It was derived from DFT lattice parameters and positions (GGA-PBE), using copper Kα.

Structure:
```
data_YB3H15N
_cell_length_a 7.8612
_cell_length_b 7.6902
_cell_length_c 12.5464
_cell_angle_alpha 90.00
_cell_angle_beta 90.00
_cell_angle_gamma 90.00
_symmetry_space_group_name_H-M 'C m c 21'
_symmetry_Int_Tables_number 36
_symmetry_space_group_name_Hall 'C 2c -2'
loop_
_atom_site_label
_atom_site_type_symbol
_atom_site_fract_x
_atom_site_fract_y
_atom_site_fract_z
_atom_site_occupancy
Y1 Y 0.0000 0.2178 0.0000 1
B1 B 0.0000 0.2933 0.1942 1
B2 B 0.2242 0.0610 0.4771 1
H1 H 0.0000 0.3319 0.2873 1
H2 H 0.0000 0.4078 0.7877 1
H3 H 0.0000 0.4222 0.1356 1
H4 H 0.1046 0.2265 0.7669 1
H5 H 0.1264 0.2055 0.1702 1
H6 H 0.1266 0.4868 0.9738 1
H7 H 0.1512 0.0024 0.3989 1
H8 H 0.1638 0.0136 0.5624 1
H9 H 0.2102 0.2207 0.4732 1
N1 N 0.0000 0.2769 0.8046 1
```

Most intense lines, 15° ≤ 2θ ≤ 90°, low angle first:
| 2θ/deg | d/Å | I_rel | h k l |
| --- | --- | --- | --- |
| 17.61 | 5.035 | 100 | 1 1 1 |
| 22.62 | 3.931 | 14 | 2 0 0 |
| 23.13 | 3.845 | 11 | 0 2 0 |
| 26.78 | 3.329 | 20 | 1 1 3 |
| 28.46 | 3.137 | 10 | 0 0 4 |
| 32.58 | 2.749 | 15 | 2 2 0 |
| 35.66 | 2.518 | 10 | 2 2 2 |
| 36.94 | 2.434 | 17 | 3 1 1 |
| 37.60 | 2.392 | 10 | 1 3 1 |
| 39.48 | 2.283 | 15 | 1 1 5 |

Record 2
The following is a calculated powder X-ray diffraction pattern of Tb3Cd2Hg2. It was derived from DFT lattice parameters and positions (GGA-PBE), using copper Kα.

Structure:
```
data_Tb3Cd2Hg2
_cell_length_a 5.0994
_cell_length_b 5.2299
_cell_length_c 8.6105
_cell_angle_alpha 101.91
_cell_angle_beta 90.20
_cell_angle_gamma 118.44
_symmetry_space_group_name_H-M 'P -1'
_symmetry_Int_Tables_number 2
_symmetry_space_group_name_Hall '-P 1'
loop_
_atom_site_label
_atom_site_type_symbol
_atom_site_fract_x
_atom_site_fract_y
_atom_site_fract_z
_atom_site_occupancy
Tb1 Tb 0.0000 0.0000 0.0000 1
Tb2 Tb 0.2736 0.5557 0.7081 1
Cd1 Cd 0.3613 0.7182 0.1312 1
Hg1 Hg 0.0738 0.1299 0.3608 1
```

Most intense lines, 15° ≤ 2θ ≤ 90°, low angle first:
| 2θ/deg | d/Å | I_rel | h k l |
| --- | --- | --- | --- |
| 19.94 | 4.453 | 37 | 1 0 0 |
| 20.17 | 4.403 | 46 | 1 -1 0 |
| 32.60 | 2.746 | 88 | 0 1 2 |
| 34.12 | 2.628 | 61 | 1 1 -1 |
| 34.52 | 2.598 | 52 | 1 -2 1 |
| 35.08 | 2.558 | 39 | 1 -2 0 |
| 35.20 | 2.550 | 100 | 2 -1 0 |
| 35.92 | 2.500 | 74 | 1 0 -3 |
| 36.06 | 2.491 | 70 | 1 -1 3 |
| 45.63 | 1.988 | 34 | 0 2 -3 |

Record 3
The following is a calculated powder X-ray diffraction pattern of Na3La. It was derived from DFT lattice parameters and positions (GGA-PBE), using copper Kα.

Structure:
```
data_Na3La
_cell_length_a 3.4007
_cell_length_b 6.2546
_cell_length_c 6.8485
_cell_angle_alpha 90.00
_cell_angle_beta 90.00
_cell_angle_gamma 90.00
_symmetry_space_group_name_H-M 'P m m 2'
_symmetry_Int_Tables_number 25
_symmetry_space_group_name_Hall 'P 2 -2'
loop_
_atom_site_label
_atom_site_type_symbol
_atom_site_fract_x
_atom_site_fract_y
_atom_site_fract_z
_atom_site_occupancy
Na1 Na 0.0000 0.0000 0.0000 1
Na2 Na 0.0000 0.5000 0.2940 1
Na3 Na 0.5000 0.5000 0.8001 1
La1 La 0.5000 0.0000 0.4985 1
```

Most intense lines, 15° ≤ 2θ ≤ 90°, low angle first:
| 2θ/deg | d/Å | I_rel | h k l |
| --- | --- | --- | --- |
| 19.22 | 4.618 | 72 | 0 1 1 |
| 28.54 | 3.127 | 48 | 0 2 0 |
| 29.32 | 3.046 | 48 | 1 0 1 |
| 29.74 | 3.004 | 80 | 0 1 2 |
| 29.91 | 2.988 | 24 | 1 1 0 |
| 32.70 | 2.738 | 100 | 1 1 1 |
| 40.05 | 2.251 | 21 | 1 1 2 |
| 41.38 | 2.182 | 37 | 1 2 1 |
| 53.24 | 1.720 | 24 | 1 3 1 |
| 56.80 | 1.621 | 24 | 1 2 3 |

Record 4
The following is a calculated powder X-ray diffraction pattern of Nd8SmTm3. It was derived from DFT lattice parameters and positions (GGA-PBE), using copper Kα.

Structure:
```
data_Nd8SmTm3
_cell_length_a 6.2780
_cell_length_b 7.2543
_cell_length_c 9.5998
_cell_angle_alpha 100.77
_cell_angle_beta 109.01
_cell_angle_gamma 90.16
_symmetry_space_group_name_H-M 'P 1'
_symmetry_Int_Tables_number 1
_symmetry_space_group_name_Hall 'P 1'
loop_
_atom_site_label
_atom_site_type_symbol
_atom_site_fract_x
_atom_site_fract_y
_atom_site_fract_z
_atom_site_occupancy
Nd1 Nd 0.0000 0.0000 0.0000 1
Nd2 Nd 0.9996 0.3321 0.3351 1
Nd3 Nd 0.0031 0.4967 0.0007 1
Nd4 Nd 0.4994 0.9163 0.6677 1
Nd5 Nd 0.5001 0.4134 0.6671 1
Nd6 Nd 0.5028 0.0825 0.3335 1
Nd7 Nd 0.5041 0.7487 0.0031 1
Nd8 Nd 0.9968 0.6637 0.6663 1
Sm1 Sm 0.0045 0.8318 0.3365 1
Tm1 Tm 0.0028 0.1656 0.6687 1
Tm2 Tm 0.4992 0.5803 0.3320 1
Tm3 Tm 0.5010 0.2495 0.0017 1
```

Most intense lines, 15° ≤ 2θ ≤ 90°, low angle first:
| 2θ/deg | d/Å | I_rel | h k l |
| --- | --- | --- | --- |
| 30.17 | 2.962 | 100 | 2 0 0 |
| 34.98 | 2.565 | 51 | 1 2 1 |
| 50.28 | 1.815 | 30 | 2 0 3 |
| 59.75 | 1.548 | 29 | 1 2 4 |
| 59.86 | 1.545 | 14 | 3 2 1 |
| 62.66 | 1.483 | 6 | 0 0 6 |
| 62.81 | 1.479 | 6 | 2 4 -4 |
| 81.75 | 1.178 | 9 | 1 -6 0 |
| 84.36 | 1.148 | 7 | 0 4 5 |
| 84.46 | 1.147 | 7 | 1 6 0 |

Record 5
The following is a calculated powder X-ray diffraction pattern of Ac8HOs3I3. It was derived from DFT lattice parameters and positions (GGA-PBE), using copper Kα.

Structure:
```
data_Ac8HOs3I3
_cell_length_a 8.6866
_cell_length_b 8.6866
_cell_length_c 25.8532
_cell_angle_alpha 90.00
_cell_angle_beta 90.00
_cell_angle_gamma 120.00
_symmetry_space_group_name_H-M 'R -3 m'
_symmetry_Int_Tables_number 166
_symmetry_space_group_name_Hall '-R 3 2"'
loop_
_atom_site_label
_atom_site_type_symbol
_atom_site_fract_x
_atom_site_fract_y
_atom_site_fract_z
_atom_site_occupancy
Ac1 Ac 0.0000 0.0000 0.2294 1
Ac2 Ac 0.0078 0.5039 0.7729 1
H1 H 0.0000 0.0000 0.5000 1
Os1 Os 0.0000 0.5000 0.5000 1
I1 I 0.0000 0.5000 0.0000 1
```

Most intense lines, 15° ≤ 2θ ≤ 90°, low angle first:
| 2θ/deg | d/Å | I_rel | h k l |
| --- | --- | --- | --- |
| 24.65 | 3.612 | 12 | 2 0 2 |
| 27.44 | 3.251 | 100 | 0 2 4 |
| 29.36 | 3.042 | 13 | 2 0 5 |
| 34.02 | 2.635 | 27 | 0 2 7 |
| 36.67 | 2.451 | 24 | 2 0 8 |
| 41.59 | 2.172 | 42 | 2 2 0 |
| 45.51 | 1.993 | 17 | 2 0 11 |
| 50.54 | 1.806 | 19 | 4 0 4 |
| 52.85 | 1.732 | 13 | 2 2 9 |
| 67.45 | 1.388 | 16 | 2 4 4 |

Record 6
The following is a calculated powder X-ray diffraction pattern of Ba8Bi3I4Br. It was derived from DFT lattice parameters and positions (GGA-PBE), using copper Kα.

Structure:
```
data_Ba8Bi3I4Br
_cell_length_a 10.1304
_cell_length_b 10.1304
_cell_length_c 24.7382
_cell_angle_alpha 90.00
_cell_angle_beta 90.00
_cell_angle_gamma 120.00
_symmetry_space_group_name_H-M 'R -3 m'
_symmetry_Int_Tables_number 166
_symmetry_space_group_name_Hall '-R 3 2"'
loop_
_atom_site_label
_atom_site_type_symbol
_atom_site_fract_x
_atom_site_fract_y
_atom_site_fract_z
_atom_site_occupancy
Ba1 Ba 0.0000 0.0000 0.2428 1
Ba2 Ba 0.0066 0.5033 0.7571 1
Bi1 Bi 0.0000 0.5000 0.5000 1
I1 I 0.0000 0.0000 0.0000 1
I2 I 0.0000 0.5000 0.0000 1
Br1 Br 0.0000 0.0000 0.5000 1
```

Most intense lines, 15° ≤ 2θ ≤ 90°, low angle first:
| 2θ/deg | d/Å | I_rel | h k l |
| --- | --- | --- | --- |
| 24.89 | 3.578 | 100 | 0 2 4 |
| 35.48 | 2.530 | 78 | 2 2 0 |
| 43.79 | 2.067 | 22 | 4 0 4 |
| 43.92 | 2.062 | 6 | 0 0 12 |
| 51.05 | 1.789 | 13 | 0 4 8 |
| 57.55 | 1.601 | 20 | 2 4 4 |
| 57.66 | 1.599 | 17 | 2 2 12 |
| 63.67 | 1.462 | 21 | 6 0 0 |
| 80.49 | 1.193 | 14 | 6 2 4 |
| 85.83 | 1.132 | 6 | 2 6 8 |

Record 7
The following is a calculated powder X-ray diffraction pattern of Nd2Co17C2. It was derived from DFT lattice parameters and positions (GGA-PBE), using copper Kα.

Structure:
```
data_Nd2Co17C2
_cell_length_a 9.4723
_cell_length_b 8.5858
_cell_length_c 6.4248
_cell_angle_alpha 90.00
_cell_angle_beta 98.22
_cell_angle_gamma 90.00
_symmetry_space_group_name_H-M 'C 1 2/m 1'
_symmetry_Int_Tables_number 12
_symmetry_space_group_name_Hall '-C 2y'
loop_
_atom_site_label
_atom_site_type_symbol
_atom_site_fract_x
_atom_site_fract_y
_atom_site_fract_z
_atom_site_occupancy
Nd1 Nd 0.1440 0.0000 0.3278 1
Co1 Co 0.0000 0.2242 0.0000 1
Co2 Co 0.0000 0.5000 0.5000 1
Co3 Co 0.0955 0.5000 0.9053 1
Co4 Co 0.1031 0.2586 0.6588 1
Co5 Co 0.1419 0.3584 0.2837 1
Co6 Co 0.1579 0.0000 0.8647 1
Co7 Co 0.2500 0.2500 0.0000 1
C1 C 0.2500 0.2500 0.5000 1
```

Most intense lines, 15° ≤ 2θ ≤ 90°, low angle first:
| 2θ/deg | d/Å | I_rel | h k l |
| --- | --- | --- | --- |
| 30.25 | 2.955 | 33 | 1 1 -2 |
| 32.76 | 2.734 | 22 | 2 2 1 |
| 36.29 | 2.475 | 49 | 1 3 1 |
| 38.13 | 2.360 | 30 | 2 2 -2 |
| 38.41 | 2.344 | 18 | 4 0 0 |
| 42.15 | 2.144 | 100 | 0 4 0 |
| 42.67 | 2.119 | 67 | 0 0 3 |
| 42.85 | 2.111 | 44 | 3 3 0 |
| 44.61 | 2.031 | 57 | 4 0 -2 |
| 47.90 | 1.899 | 20 | 0 2 3 |

Record 8
The following is a calculated powder X-ray diffraction pattern of Pb2SeCl. It was derived from DFT lattice parameters and positions (GGA-PBE), using copper Kα.

Structure:
```
data_Pb2SeCl
_cell_length_a 9.6674
_cell_length_b 16.0617
_cell_length_c 7.0337
_cell_angle_alpha 90.00
_cell_angle_beta 119.55
_cell_angle_gamma 90.00
_symmetry_space_group_name_H-M 'C 1 2/c 1'
_symmetry_Int_Tables_number 15
_symmetry_space_group_name_Hall '-C 2yc'
loop_
_atom_site_label
_atom_site_type_symbol
_atom_site_fract_x
_atom_site_fract_y
_atom_site_fract_z
_atom_site_occupancy
Pb1 Pb 0.2405 0.1879 0.2654 1
Pb2 Pb 0.2433 0.0633 0.7332 1
Se1 Se 0.0000 0.0644 0.2500 1
Se2 Se 0.0000 0.3107 0.2500 1
Cl1 Cl 0.0000 0.1807 0.7500 1
Cl2 Cl 0.0000 0.4455 0.7500 1
```

Most intense lines, 15° ≤ 2θ ≤ 90°, low angle first:
| 2θ/deg | d/Å | I_rel | h k l |
| --- | --- | --- | --- |
| 21.13 | 4.205 | 22 | 2 0 0 |
| 26.24 | 3.396 | 12 | 2 0 -2 |
| 26.55 | 3.357 | 26 | 0 4 1 |
| 29.20 | 3.058 | 100 | 2 4 -1 |
| 38.15 | 2.359 | 16 | 4 0 -2 |
| 38.58 | 2.334 | 32 | 2 4 1 |
| 43.02 | 2.103 | 12 | 4 0 0 |
| 44.76 | 2.025 | 20 | 2 4 -3 |
| 60.55 | 1.529 | 12 | 4 8 -2 |
| 64.12 | 1.452 | 14 | 4 8 0 |

Record 9
The following is a calculated powder X-ray diffraction pattern of Fe8Rh3. It was derived from DFT lattice parameters and positions (GGA-PBE), using copper Kα.

Structure:
```
data_Fe8Rh3
_cell_length_a 2.5555
_cell_length_b 4.0637
_cell_length_c 25.5188
_cell_angle_alpha 90.00
_cell_angle_beta 90.00
_cell_angle_gamma 90.00
_symmetry_space_group_name_H-M 'I m m m'
_symmetry_Int_Tables_number 71
_symmetry_space_group_name_Hall '-I 2 2'
loop_
_atom_site_label
_atom_site_type_symbol
_atom_site_fract_x
_atom_site_fract_y
_atom_site_fract_z
_atom_site_occupancy
Fe1 Fe 0.0000 0.0000 0.0468 1
Fe2 Fe 0.0000 0.0000 0.2335 1
Fe3 Fe 0.0000 0.5000 0.0928 1
Fe4 Fe 0.0000 0.5000 0.1831 1
Rh1 Rh 0.0000 0.0000 0.5000 1
Rh2 Rh 0.0000 0.5000 0.3585 1
```

Most intense lines, 15° ≤ 2θ ≤ 90°, low angle first:
| 2θ/deg | d/Å | I_rel | h k l |
| --- | --- | --- | --- |
| 24.27 | 3.667 | 12 | 0 1 3 |
| 43.24 | 2.093 | 53 | 1 0 7 |
| 44.21 | 2.049 | 100 | 1 1 4 |
| 44.60 | 2.032 | 51 | 0 2 0 |
| 45.00 | 2.015 | 92 | 0 1 11 |
| 63.86 | 1.458 | 31 | 1 2 7 |
| 81.10 | 1.186 | 14 | 1 1 18 |
| 81.90 | 1.176 | 15 | 1 3 4 |
| 82.45 | 1.170 | 14 | 0 3 11 |
| 83.14 | 1.162 | 12 | 1 2 15 |

Record 10
The following is a calculated powder X-ray diffraction pattern of PrErCd17. It was derived from DFT lattice parameters and positions (GGA-PBE), using copper Kα.

Structure:
```
data_PrErCd17
_cell_length_a 10.0708
_cell_length_b 10.0708
_cell_length_c 15.0113
_cell_angle_alpha 90.00
_cell_angle_beta 90.00
_cell_angle_gamma 120.00
_symmetry_space_group_name_H-M 'R 3 m'
_symmetry_Int_Tables_number 160
_symmetry_space_group_name_Hall 'R 3 -2"'
loop_
_atom_site_label
_atom_site_type_symbol
_atom_site_fract_x
_atom_site_fract_y
_atom_site_fract_z
_atom_site_occupancy
Pr1 Pr 0.0000 0.0000 0.0000 1
Er1 Er 0.0000 0.0000 0.3433 1
Cd1 Cd 0.0000 0.0000 0.5629 1
Cd2 Cd 0.0000 0.0000 0.7592 1
Cd3 Cd 0.0328 0.3629 0.3350 1
Cd4 Cd 0.1767 0.3533 0.1451 1
Cd5 Cd 0.1825 0.3651 0.5080 1
Cd6 Cd 0.1954 0.3909 0.8510 1
```

Most intense lines, 15° ≤ 2θ ≤ 90°, low angle first:
| 2θ/deg | d/Å | I_rel | h k l |
| --- | --- | --- | --- |
| 30.75 | 2.907 | 26 | 3 0 0 |
| 31.46 | 2.844 | 15 | 0 2 4 |
| 35.70 | 2.515 | 100 | 0 3 3 |
| 35.89 | 2.502 | 20 | 0 0 6 |
| 36.32 | 2.474 | 25 | 2 0 5 |
| 40.09 | 2.249 | 24 | 2 2 3 |
| 40.25 | 2.241 | 7 | 1 1 6 |
| 64.06 | 1.454 | 9 | 6 0 0 |
| 64.43 | 1.446 | 21 | 0 3 9 |
| 69.93 | 1.345 | 7 | 5 2 3 |

Record 11
The following is a calculated powder X-ray diffraction pattern of La2Cd. It was derived from DFT lattice parameters and positions (GGA-PBE), using copper Kα.

Structure:
```
data_La2Cd
_cell_length_a 3.8619
_cell_length_b 3.8619
_cell_length_c 13.1111
_cell_angle_alpha 90.00
_cell_angle_beta 90.00
_cell_angle_gamma 90.00
_symmetry_space_group_name_H-M 'P 4/m m m'
_symmetry_Int_Tables_number 123
_symmetry_space_group_name_Hall '-P 4 2'
loop_
_atom_site_label
_atom_site_type_symbol
_atom_site_fract_x
_atom_site_fract_y
_atom_site_fract_z
_atom_site_occupancy
La1 La 0.0000 0.0000 0.0000 1
La2 La 0.0000 0.0000 0.3080 1
La3 La 0.5000 0.5000 0.5000 1
Cd1 Cd 0.5000 0.5000 0.1557 1
```

Most intense lines, 15° ≤ 2θ ≤ 90°, low angle first:
| 2θ/deg | d/Å | I_rel | h k l |
| --- | --- | --- | --- |
| 30.90 | 2.894 | 100 | 1 0 3 |
| 32.80 | 2.731 | 47 | 1 1 0 |
| 41.32 | 2.185 | 8 | 0 0 6 |
| 47.06 | 1.931 | 17 | 2 0 0 |
| 53.72 | 1.706 | 15 | 1 1 6 |
| 57.37 | 1.606 | 34 | 2 1 3 |
| 64.39 | 1.447 | 9 | 2 0 6 |
| 68.75 | 1.365 | 5 | 2 2 0 |
| 77.26 | 1.235 | 7 | 3 0 3 |
| 78.29 | 1.221 | 7 | 3 1 0 |

Record 12
The following is a calculated powder X-ray diffraction pattern of RbBAsS4. It was derived from DFT lattice parameters and positions (GGA-PBE), using copper Kα.

Structure:
```
data_RbBAsS4
_cell_length_a 5.7266
_cell_length_b 7.1396
_cell_length_c 8.8965
_cell_angle_alpha 90.00
_cell_angle_beta 106.71
_cell_angle_gamma 90.00
_symmetry_space_group_name_H-M 'P 1 21/m 1'
_symmetry_Int_Tables_number 11
_symmetry_space_group_name_Hall '-P 2yb'
loop_
_atom_site_label
_atom_site_type_symbol
_atom_site_fract_x
_atom_site_fract_y
_atom_site_fract_z
_atom_site_occupancy
Rb1 Rb 0.1973 0.2500 0.4000 1
B1 B 0.3535 0.7500 0.1794 1
As1 As 0.1804 0.2500 0.8653 1
S1 S 0.1114 0.7500 0.9793 1
S2 S 0.1722 0.7500 0.3347 1
S3 S 0.4316 0.0335 0.7850 1
```

Most intense lines, 15° ≤ 2θ ≤ 90°, low angle first:
| 2θ/deg | d/Å | I_rel | h k l |
| --- | --- | --- | --- |
| 16.19 | 5.474 | 43 | 0 1 1 |
| 20.42 | 4.349 | 58 | 1 1 0 |
| 24.33 | 3.659 | 74 | 0 1 2 |
| 24.95 | 3.569 | 66 | 0 2 0 |
| 29.86 | 2.992 | 58 | 1 2 0 |
| 30.04 | 2.975 | 100 | 1 0 2 |
| 33.80 | 2.652 | 63 | 1 2 -2 |
| 41.52 | 2.175 | 29 | 2 2 0 |
| 49.86 | 1.829 | 30 | 3 0 0 |
| 51.33 | 1.780 | 32 | 2 2 2 |

Number 4 is which compound? Nd8SmTm3